Diffraction record for CaVPbO5. The PXRD pattern is simulated, not measured: it uses DFT lattice parameters and positions (PBE+U) and copper Kα.

Largest 8 diffraction maxima, by angle, 5 to 70 degrees two-theta:
| d (Å) | two_theta | Rel. int. |
| --- | --- | --- |
| 5.481 | 16.17 | 100 |
| 4.748 | 18.69 | 35 |
| 3.553 | 25.06 | 98 |
| 3.356 | 26.56 | 60 |
| 2.905 | 30.78 | 68 |
| 2.863 | 31.25 | 65 |
| 2.234 | 40.37 | 31 |
| 1.827 | 49.92 | 31 |

Crystal structure
abc: 5.946 5.946 7.833
angles: 102.09 102.09 105.97
Positions (direct):
Ca  0.160  0.840  0.750
Ca  0.840  0.160  0.250
V  0.177  0.823  0.250
V  0.823  0.177  0.750
Pb  0.500  0.500  0.000
Pb  0.500  0.500  0.500
O  0.085  0.208  0.916
O  0.142  0.574  0.342
O  0.208  0.085  0.416
O  0.403  0.597  0.750
O  0.426  0.858  0.158
O  0.574  0.142  0.842
O  0.597  0.403  0.250
O  0.792  0.915  0.584
O  0.858  0.426  0.658
O  0.915  0.792  0.084